Structure and calculated powder X-ray diffraction pattern of AcSiHgPd6 (a DFT-relaxed cell (PBE, Alexandria); CuKα).

Atomic structure:
Lattice parameters (Å, degrees): 8.173 8.173 8.173 132.79 109.42 89.32
Atoms (fractional coordinates):
Ac1 0.437 0.187 0.250
Ac2 0.563 0.813 0.750
Si1 0.000 0.500 0.500
Si2 0.500 0.500 0.000
Hg1 0.000 0.000 0.500
Hg2 0.000 0.500 0.000
Pd1 0.120 0.349 0.221
Pd2 0.120 0.899 0.771
Pd3 0.195 0.945 0.250
Pd4 0.303 0.553 0.750
Pd5 0.372 0.101 0.721
Pd6 0.372 0.651 0.271
Pd7 0.628 0.349 0.729
Pd8 0.628 0.899 0.279
Pd9 0.697 0.447 0.250
Pd10 0.805 0.055 0.750
Pd11 0.880 0.101 0.229
Pd12 0.880 0.651 0.779

The 12 most intense peaks (2θ = 5–70°), sorted by position:
Position (°2θ)	Rel. int.
26.73	322
29.90	1000
33.31	867
35.09	733
36.30	752
37.20	261
38.12	941
40.51	384
44.64	375
45.97	653
56.22	353
69.95	269